Computed X-ray diffraction stick pattern of Ni16Te for Cu Kα, from a DFT-relaxed cell (PBE, OQMD).

Principal peaks in the range 10 to 90 degrees two-theta, in order of rising 2θ:
h k l  2theta  I_rel
0 1 -13  42.64  56
2 1 -4  44.41  58
1 2 9  44.59  76
1 -2 0  45.04  100
2 1 -5  45.38  68
0 1 -14  45.56  64
-1 1 13  50.25  34
2 0 9  52.06  82
-1 1 14  52.84  39
1 3 -5  52.96  37

Atomic structure:
Lattice parameters (Å, degrees): 4.2778 5.5038 30.0905 89.87 90.00 75.11
Space group P-1 (No. 2)
Unique sites:
1 Ni 0.9998 0.2493 0.0544 (multiplicity 2)
2 Ni 0.0024 0.7471 0.1633 (multiplicity 2)
3 Ni 0.1413 0.8231 0.2409 (multiplicity 2)
4 Ni 0.1421 0.8175 0.8048 (multiplicity 2)
5 Ni 0.1423 0.8207 0.0233 (multiplicity 2)
6 Ni 0.1429 0.3195 0.1325 (multiplicity 2)
7 Ni 0.1432 0.3232 0.9144 (multiplicity 2)
8 Ni 0.2836 0.3927 0.7749 (multiplicity 2)
9 Ni 0.2851 0.8942 0.8836 (multiplicity 2)
10 Ni 0.2859 0.3933 0.9922 (multiplicity 2)
11 Ni 0.2855 0.8913 0.1008 (multiplicity 2)
12 Ni 0.2865 0.3938 0.2121 (multiplicity 2)
13 Ni 0.4279 0.4631 0.0701 (multiplicity 2)
14 Ni 0.4279 0.9641 0.1780 (multiplicity 2)
15 Ni 0.4289 0.4675 0.8522 (multiplicity 2)
16 Ni 0.4289 0.9647 0.9612 (multiplicity 2)
17 Te 0.4313 0.9606 0.7351 (multiplicity 2)


Computed X-ray diffraction stick pattern of ScFePb2 for Cu Kα, from a DFT-relaxed cell (PBE, OQMD).

Principal peaks in the range 10 to 90 degrees two-theta, in order of rising 2θ:
h k l  2theta  I_rel
1 1 1  21.78  40
2 2 0  35.94  100
3 1 1  42.42  23
4 0 0  51.74  18
3 3 1  56.79  10
4 2 2  64.61  36
5 1 1  69.06  8
4 4 0  76.21  11
5 3 1  80.39  8
6 2 0  87.25  17

Atomic structure:
Lattice parameters (Å, degrees): 7.0667 7.0667 7.0667 90.00 90.00 90.00
Space group F-43m (No. 216)
Unique sites:
1 Sc 0.0000 0.0000 0.0000 (multiplicity 4)
2 Fe 0.2500 0.2500 0.2500 (multiplicity 4)
3 Pb 0.0000 0.0000 0.5000 (multiplicity 4)
4 Pb 0.2500 0.2500 0.7500 (multiplicity 4)


Computed X-ray diffraction stick pattern of PbAu2 for Cu Kα, from a DFT-relaxed cell (PBE, OQMD).

Principal peaks in the range 10 to 90 degrees two-theta, in order of rising 2θ:
h k l  2theta  I_rel
0 0 4  31.28  30
3 1 0  36.85  100
1 2 2  36.99  43
2 0 4  38.52  28
2 2 0  38.68  24
3 0 6  59.32  15
1 2 6  59.42  11
1 3 4  59.58  15
4 2 4  65.29  24
3 1 8  77.29  9

Atomic structure:
Lattice parameters (Å, degrees): 8.0962 5.6897 11.4512 90.00 90.00 90.00
Space group Pbcn (No. 60)
Unique sites:
1 Pb 0.1262 0.0090 0.1253 (multiplicity 8)
2 Au 0.0000 0.4809 0.2500 (multiplicity 4)
3 Au 0.0000 0.5000 0.0000 (multiplicity 4)
4 Au 0.2268 0.2141 0.8748 (multiplicity 8)


Computed X-ray diffraction stick pattern of ZnAgPt2 for Cu Kα, from a DFT-relaxed cell (PBE, OQMD).

Principal peaks in the range 10 to 90 degrees two-theta, in order of rising 2θ:
h k l  2theta  I_rel
1 1 1  24.32  15
2 0 0  28.15  1
2 2 0  40.23  100
3 1 1  47.57  8
4 0 0  58.20  17
3 3 1  64.01  4
4 2 2  73.12  34
5 1 1  78.37  3
4 4 0  86.92  11

Atomic structure:
Lattice parameters (Å, degrees): 6.3402 6.3402 6.3402 90.00 90.00 90.00
Space group F-43m (No. 216)
Unique sites:
1 Zn 0.0000 0.0000 0.0000 (multiplicity 4)
2 Ag 0.2500 0.2500 0.2500 (multiplicity 4)
3 Pt 0.0000 0.0000 0.5000 (multiplicity 4)
4 Pt 0.2500 0.2500 0.7500 (multiplicity 4)


Computed X-ray diffraction stick pattern of TbDyIr2C3 for Cu Kα, from a DFT-relaxed cell (PBE, OQMD).

Principal peaks in the range 10 to 90 degrees two-theta, in order of rising 2θ:
h k l  2theta  I_rel
4 0 0  32.42  54
1 1 1  33.37  100
2 0 -2  34.81  29
0 0 2  35.15  16
3 1 -1  36.91  75
2 0 2  42.59  27
0 2 0  52.81  17
5 1 1  56.02  25
3 1 -3  60.10  15
4 2 0  63.33  26

Atomic structure:
Lattice parameters (Å, degrees): 11.4114 3.4671 5.2750 90.00 104.56 90.00
Space group Cm (No. 8)
Unique sites:
1 Tb 0.0000 0.0000 0.0000 (multiplicity 2)
2 Dy 0.2521 0.5000 0.3605 (multiplicity 2)
3 Ir 0.0094 0.5000 0.5133 (multiplicity 2)
4 Ir 0.2434 0.0000 0.8471 (multiplicity 2)
5 C 0.1032 0.0000 0.4763 (multiplicity 2)
6 C 0.1498 0.5000 0.8852 (multiplicity 2)
7 C 0.3755 0.0000 0.6775 (multiplicity 2)


Computed X-ray diffraction stick pattern of Na2AgSn4Au for Cu Kα, from a DFT-relaxed cell (PBE, OQMD).

Principal peaks in the range 10 to 90 degrees two-theta, in order of rising 2θ:
h k l  2theta  I_rel
0 0 1  15.84  74
0 1 1  19.46  67
1 0 -1  20.99  32
1 1 -1  23.87  33
1 2 -1  31.02  97
0 1 2  34.01  31
1 2 1  38.58  51
1 2 -2  38.70  50
2 0 -1  39.46  100
1 3 0  40.42  96

Atomic structure:
Lattice parameters (Å, degrees): 4.5717 7.8785 6.0330 90.00 112.00 90.00
Space group Pm (No. 6)
Unique sites:
1 Na 0.0000 0.0000 0.0000 (multiplicity 1)
2 Na 0.1406 0.5000 0.2757 (multiplicity 1)
3 Ag 0.8598 0.5000 0.7208 (multiplicity 1)
4 Sn 0.4309 0.2969 0.8632 (multiplicity 2)
5 Sn 0.7107 0.1998 0.4147 (multiplicity 2)
6 Au 0.2808 0.0000 0.5550 (multiplicity 1)